Y5Tc2Hg2: simulated powder diffractogram (λ = 1.5418 Å (Cu Kα)), based on a crystal structure in Alexandria, relaxed with GGA-PBE.
Kinematic intensities with the Lorentz-polarization factor, no thermal factor.

Top 10 peaks for 10 to 90 degrees two-theta, low angle first:
31.25 deg, rel. 49; 31.73 deg, rel. 52; 32.11 deg, rel. 98; 32.39 deg, rel. 100; 34.15 deg, rel. 81; 34.60 deg, rel. 55; 38.48 deg, rel. 36; 41.54 deg, rel. 52; 59.64 deg, rel. 33; 63.73 deg, rel. 40

Atomic structure:
```
18
Lattice="8.3595 -3.6843 0.0000 8.3595 3.6843 0.0000 0.0000 0.0000 7.4831" Properties=species:S:1:pos:R:3 pbc="T T T"
Y 0.0000 0.0000 0.0000
Y 6.2389 2.3538 5.0872
Y 6.2389 1.3305 1.3456
Y 10.4801 2.3538 5.0872
Y 10.4801 1.3305 1.3456
Y 8.3595 0.0000 3.7415
Y 6.2389 -1.3305 6.1374
Y 6.2389 -2.3538 2.3959
Y 10.4801 -1.3305 6.1374
Y 10.4801 -2.3538 2.3959
Tc 8.3595 2.8781 2.8716
Tc 8.3595 0.8062 6.6132
Tc 8.3595 -0.8062 0.8699
Tc 8.3595 -2.8781 4.6114
Hg 3.7048 0.0000 0.0000
Hg 4.6547 0.0000 3.7415
Hg 12.0643 0.0000 3.7415
Hg 13.0142 0.0000 0.0000
```

Rb5US6: simulated powder diffractogram (λ = 1.5418 Å (Cu Kα)), based on a crystal structure in Alexandria, relaxed with GGA-PBE.
Kinematic intensities with the Lorentz-polarization factor, no thermal factor.

Top 10 peaks for 10 to 90 degrees two-theta, low angle first:
13.35 deg, rel. 28; 14.94 deg, rel. 21; 23.56 deg, rel. 80; 24.09 deg, rel. 25; 27.19 deg, rel. 51; 27.55 deg, rel. 100; 38.75 deg, rel. 34; 39.44 deg, rel. 33; 46.38 deg, rel. 24; 48.21 deg, rel. 24

Atomic structure:
```
12
Lattice="4.0356 -6.9214 0.0000 4.0356 6.9214 0.0000 -2.7756 0.0000 7.3889" Properties=species:S:1:pos:R:3 pbc="T T T"
Rb 0.0000 0.0000 0.0000
Rb 2.6478 4.6202 3.6944
Rb 4.0356 2.3716 0.0000
Rb 4.0356 -2.3716 0.0000
Rb 2.6478 -4.6202 3.6944
U 2.6478 0.0000 3.6944
S 1.6070 1.8273 2.1851
S 0.5466 0.0000 5.1665
S 1.6070 -1.8273 2.1851
S 3.6887 1.8273 5.2038
S 4.7491 0.0000 2.2224
S 3.6887 -1.8273 5.2038
```

PrSmBi6: simulated powder diffractogram (λ = 1.5418 Å (Cu Kα)), based on a crystal structure in Alexandria, relaxed with GGA-PBE.
Kinematic intensities with the Lorentz-polarization factor, no thermal factor.

Top 10 peaks for 10 to 90 degrees two-theta, low angle first:
29.22 deg, rel. 97; 30.60 deg, rel. 51; 33.08 deg, rel. 100; 38.28 deg, rel. 38; 38.33 deg, rel. 31; 49.81 deg, rel. 54; 58.36 deg, rel. 23; 63.75 deg, rel. 27; 64.53 deg, rel. 25; 65.97 deg, rel. 28

Atomic structure:
```
16
Lattice="4.6965 0.0000 0.0000 0.0000 4.7013 0.0000 0.0000 0.0000 23.3698" Properties=species:S:1:pos:R:3 pbc="T T T"
Pr 0.0000 0.0000 0.0000
Pr 0.0000 2.3506 11.6849
Sm 2.3482 0.0000 15.1535
Sm 2.3482 2.3506 3.4686
Bi 0.0000 0.0000 3.2519
Bi 0.0000 0.0000 8.9249
Bi 0.0000 0.0000 17.7028
Bi 0.0000 2.3506 6.0180
Bi 0.0000 2.3506 14.9367
Bi 0.0000 2.3506 20.6098
Bi 2.3482 0.0000 6.1776
Bi 2.3482 0.0000 11.9445
Bi 2.3482 0.0000 20.7819
Bi 2.3482 2.3506 0.2596
Bi 2.3482 2.3506 9.0970
Bi 2.3482 2.3506 17.8625
```

NaPuSiO6: simulated powder diffractogram (λ = 1.5418 Å (Cu Kα)), based on a crystal structure in Alexandria, relaxed with GGA-PBE.
Kinematic intensities with the Lorentz-polarization factor, no thermal factor.

Top 10 peaks for 10 to 90 degrees two-theta, low angle first:
16.98 deg, rel. 65; 20.10 deg, rel. 71; 26.43 deg, rel. 100; 35.19 deg, rel. 25; 39.32 deg, rel. 35; 40.12 deg, rel. 27; 40.86 deg, rel. 13; 44.55 deg, rel. 25; 49.99 deg, rel. 33; 58.00 deg, rel. 24

Atomic structure:
```
9
Lattice="5.1001 0.0000 0.0000 -2.5500 4.4168 0.0000 0.0000 0.0000 5.2222" Properties=species:S:1:pos:R:3 pbc="T T T"
Na 0.0000 0.0000 0.0000
Pu 0.0000 2.9445 2.6111
Si 2.5500 1.4723 2.6111
O 1.8722 0.1385 3.6378
O 1.0560 1.5522 1.5844
O 3.2278 0.1385 1.5844
O 1.7338 2.7261 3.6378
O 4.0440 1.5522 3.6378
O 3.3662 2.7261 1.5844
```

BP3RhC: simulated powder diffractogram (λ = 1.5418 Å (Cu Kα)), based on a crystal structure in Alexandria, relaxed with GGA-PBE.
Kinematic intensities with the Lorentz-polarization factor, no thermal factor.

Top 10 peaks for 10 to 90 degrees two-theta, low angle first:
18.07 deg, rel. 100; 18.80 deg, rel. 56; 22.49 deg, rel. 72; 28.95 deg, rel. 63; 34.34 deg, rel. 86; 36.61 deg, rel. 58; 36.97 deg, rel. 90; 38.13 deg, rel. 61; 47.33 deg, rel. 72; 55.18 deg, rel. 59

Atomic structure:
```
6
Lattice="4.8877 0.0000 0.0000 0.0000 3.0841 0.0000 -1.3186 0.0000 4.9096" Properties=species:S:1:pos:R:3 pbc="T T T"
B 0.0000 0.0000 0.0000
P 0.5835 1.5421 0.9683
P 0.4366 1.5421 3.2213
P 2.7850 0.0000 2.1783
Rh 3.0434 1.5421 0.4499
C -0.7154 0.0000 3.3984
```

PaTi2Si2: simulated powder diffractogram (λ = 1.5418 Å (Cu Kα)), based on a crystal structure in Alexandria, relaxed with GGA-PBE.
Kinematic intensities with the Lorentz-polarization factor, no thermal factor.

Top 10 peaks for 10 to 90 degrees two-theta, low angle first:
15.15 deg, rel. 100; 25.13 deg, rel. 53; 26.64 deg, rel. 55; 27.55 deg, rel. 93; 30.71 deg, rel. 41; 33.57 deg, rel. 60; 34.69 deg, rel. 43; 39.11 deg, rel. 37; 39.57 deg, rel. 59; 40.85 deg, rel. 36

Atomic structure:
```
10
Lattice="4.3198 -5.1711 0.0000 4.3198 5.1711 0.0000 -3.0577 0.0000 4.3877" Properties=species:S:1:pos:R:3 pbc="T T T"
Pa 2.0265 4.0407 3.2907
Pa 3.5554 -4.0407 1.0969
Ti 2.7725 1.0234 0.0601
Ti 1.2436 -1.0234 2.2539
Ti 4.3383 1.0234 2.1338
Ti 2.8094 -1.0234 4.3276
Si 3.5554 3.2408 1.0969
Si 2.0265 1.2149 3.2907
Si 3.5554 -1.2149 1.0969
Si 2.0265 -3.2408 3.2907
```

Ba2AcMg: simulated powder diffractogram (λ = 1.5418 Å (Cu Kα)), based on a crystal structure in Alexandria, relaxed with GGA-PBE.
Kinematic intensities with the Lorentz-polarization factor, no thermal factor.

Top 10 peaks for 10 to 90 degrees two-theta, low angle first:
22.89 deg, rel. 41; 24.79 deg, rel. 17; 27.06 deg, rel. 100; 30.34 deg, rel. 41; 39.57 deg, rel. 20; 43.44 deg, rel. 16; 45.64 deg, rel. 18; 47.51 deg, rel. 17; 51.93 deg, rel. 33; 55.78 deg, rel. 15

Atomic structure:
```
4
Lattice="4.1662 0.0000 0.0000 0.0000 4.1662 0.0000 0.0000 0.0000 10.7734" Properties=species:S:1:pos:R:3 pbc="T T T"
Ba 0.0000 0.0000 2.3100
Ba 0.0000 0.0000 8.4633
Ac 2.0831 2.0831 5.3867
Mg 2.0831 2.0831 0.0000
```

Th6Ru4Au: simulated powder diffractogram (λ = 1.5418 Å (Cu Kα)), based on a crystal structure in Alexandria, relaxed with GGA-PBE.
Kinematic intensities with the Lorentz-polarization factor, no thermal factor.

Top 10 peaks for 10 to 90 degrees two-theta, low angle first:
28.60 deg, rel. 34; 29.05 deg, rel. 90; 29.81 deg, rel. 44; 30.76 deg, rel. 100; 32.28 deg, rel. 42; 41.86 deg, rel. 27; 43.77 deg, rel. 49; 44.33 deg, rel. 36; 45.79 deg, rel. 50; 53.88 deg, rel. 38

Atomic structure:
```
22
Lattice="2.0435 -6.7665 0.0000 2.0435 6.7665 0.0000 0.0000 0.0000 20.6983" Properties=species:S:1:pos:R:3 pbc="T T T"
Th 0.0000 0.0000 0.0000
Th 0.0000 0.0000 10.3492
Th 2.0435 4.5665 15.5237
Th 2.0435 3.1782 1.7687
Th 2.0435 3.1782 8.5805
Th 2.0435 0.5272 13.6502
Th 2.0435 0.5272 17.3973
Th 2.0435 -0.5272 3.3010
Th 2.0435 -0.5272 7.0481
Th 2.0435 -3.1782 12.1178
Th 2.0435 -3.1782 18.9296
Th 2.0435 -4.5665 5.1746
Ru 2.0435 5.3638 13.0457
Ru 2.0435 5.3638 18.0018
Ru 2.0435 1.8404 11.2991
Ru 2.0435 1.8404 19.7483
Ru 2.0435 -1.8404 0.9500
Ru 2.0435 -1.8404 9.3992
Ru 2.0435 -5.3638 2.6966
Ru 2.0435 -5.3638 7.6526
Au 2.0435 4.6048 5.1746
Au 2.0435 -4.6048 15.5237
```